Starting from a GGA-PBE-relaxed structure, the X-ray diffraction stick pattern of SrNpMnSe4 was computed for Cu Kα X-rays.
Lines closer than 0.1° are merged.

Cell and atoms:
```
data_SrNpMnSe4
_chemical_formula_sum 'Sr2 Np2 Mn2 Se8'
_cell_length_a 6.8422
_cell_length_b 6.5886
_cell_length_c 8.5112
_cell_angle_alpha 90.00
_cell_angle_beta 107.53
_cell_angle_gamma 90.00
_space_group_name_H-M_alt 'P 1'
_space_group_IT_number 1
_space_group_name_Hall 'P 1'
loop_
_atom_site_label
_atom_site_type_symbol
_atom_site_fract_x
_atom_site_fract_y
_atom_site_fract_z
Sr1 Sr 0.2487 0.2500 0.0594
Sr2 Sr 0.7513 0.7500 0.9406
Np1 Np 0.2310 0.2500 0.5560
Np2 Np 0.7690 0.7500 0.4440
Mn1 Mn 0.2368 0.7500 0.3189
Mn2 Mn 0.7632 0.2500 0.6811
Se1 Se 0.0187 0.5127 0.7326
Se2 Se 0.0187 0.9873 0.7326
Se3 Se 0.4351 0.7500 0.1301
Se4 Se 0.4406 0.7500 0.5993
Se5 Se 0.5594 0.2500 0.4007
Se6 Se 0.5649 0.2500 0.8699
Se7 Se 0.9813 0.0127 0.2674
Se8 Se 0.9813 0.4873 0.2674
```

Largest 10 diffraction maxima, by angle, 2θ from 10° to 80°:
two_theta	intensity	(hkl)
10.90	92.4	0 0 1
19.14	60.5	1 1 0
27.07	49.8	0 2 0
29.22	55.5	1 0 2
29.52	59.8	2 0 -2
32.28	83.3	1 1 2
32.56	85.8	2 1 -2
35.13	100.0	0 2 2
38.84	53.2	2 2 0
42.49	44.5	1 0 -4